This entry pairs a crystal structure of Ba3Ge4C2 with its calculated X-ray diffraction stick pattern. Radiation: a wavelength of 1.5418 Å. Structure: a cell relaxed with GGA-PBE.

Most intense lines, 15° ≤ 2θ ≤ 90°, sorted by position:
22.90°, intensity 100
23.34°, intensity 68
23.53°, intensity 42
28.27°, intensity 29
32.00°, intensity 14
37.15°, intensity 55
37.40°, intensity 13
40.74°, intensity 30
45.16°, intensity 16
47.36°, intensity 13

Crystal structure
```
Ba3Ge4C2
1.0
-4.412 4.519 7.561
4.412 -4.519 7.561
4.412 4.519 -7.561
Ba Ge C
6 8 4
direct
0.188 0.730 0.918 Ba
0.250 0.250 0.000 Ba
0.312 0.230 0.543 Ba
0.688 0.770 0.457 Ba
0.750 0.750 0.000 Ba
0.812 0.270 0.082 Ba
0.089 0.588 0.289 Ge
0.201 0.912 0.501 Ge
0.299 0.800 0.711 Ge
0.411 0.700 0.499 Ge
0.589 0.300 0.501 Ge
0.701 0.200 0.289 Ge
0.799 0.088 0.499 Ge
0.911 0.412 0.711 Ge
0.060 0.038 0.097 C
0.440 0.538 0.978 C
0.560 0.462 0.022 C
0.940 0.962 0.903 C
```



This entry pairs a crystal structure of BaCaSmNbO6 with its calculated X-ray diffraction stick pattern. Radiation: a wavelength of 1.5418 Å. Structure: a cell relaxed with GGA-PBE.

Most intense lines, 15° ≤ 2θ ≤ 90°, sorted by position:
29.90°, intensity 100
42.65°, intensity 9
42.79°, intensity 9
42.94°, intensity 9
53.03°, intensity 30
53.17°, intensity 15
70.24°, intensity 6
70.45°, intensity 6
85.92°, intensity 7
86.17°, intensity 7

Crystal structure
```
BaCaSmNbO6
1.0
8.426 0.000 0.000
0.000 8.454 0.000
0.000 0.000 8.480
Ba Ca Sm Nb O
4 4 4 4 24
direct
0.000 0.000 0.000 Ba
0.000 0.000 0.500 Ba
0.000 0.500 0.000 Ba
0.500 0.500 0.500 Ba
0.000 0.500 0.500 Ca
0.500 0.000 0.000 Ca
0.500 0.000 0.500 Ca
0.500 0.500 0.000 Ca
0.256 0.254 0.749 Sm
0.256 0.746 0.251 Sm
0.744 0.254 0.251 Sm
0.744 0.746 0.749 Sm
0.257 0.249 0.252 Nb
0.257 0.751 0.748 Nb
0.743 0.249 0.748 Nb
0.743 0.751 0.252 Nb
0.019 0.273 0.217 O
0.019 0.727 0.783 O
0.209 0.307 0.481 O
0.209 0.693 0.519 O
0.224 0.015 0.280 O
0.224 0.985 0.720 O
0.299 0.206 0.017 O
0.299 0.794 0.983 O
0.304 0.480 0.201 O
0.304 0.520 0.799 O
0.483 0.208 0.314 O
0.483 0.792 0.686 O
0.517 0.208 0.686 O
0.517 0.792 0.314 O
0.696 0.480 0.799 O
0.696 0.520 0.201 O
0.701 0.206 0.983 O
0.701 0.794 0.017 O
0.776 0.015 0.720 O
0.776 0.985 0.280 O
0.791 0.307 0.519 O
0.791 0.693 0.481 O
0.981 0.273 0.783 O
0.981 0.727 0.217 O
```



This entry pairs a crystal structure of Nd2MgNi2 with its calculated X-ray diffraction stick pattern. Radiation: a wavelength of 1.5418 Å. Structure: a cell relaxed with GGA-PBE.

Most intense lines, 15° ≤ 2θ ≤ 90°, sorted by position:
16.70°, intensity 20
23.71°, intensity 14
26.55°, intensity 17
33.26°, intensity 28
35.40°, intensity 100
37.90°, intensity 22
46.97°, intensity 12
50.12°, intensity 16
55.81°, intensity 16
71.10°, intensity 11

Crystal structure
```
Nd2MgNi2
1.0
7.507 0.000 0.000
0.000 7.507 0.000
0.000 0.000 3.869
Nd Mg Ni
4 2 4
direct
0.174 0.326 0.000 Nd
0.326 0.826 0.000 Nd
0.674 0.174 0.000 Nd
0.826 0.674 0.000 Nd
0.000 0.000 0.500 Mg
0.500 0.500 0.500 Mg
0.119 0.619 0.500 Ni
0.381 0.119 0.500 Ni
0.619 0.881 0.500 Ni
0.881 0.381 0.500 Ni
```



This entry pairs a crystal structure of LiGaPO5 with its calculated X-ray diffraction stick pattern. Radiation: a wavelength of 1.5418 Å. Structure: a cell relaxed with GGA-PBE.

Most intense lines, 15° ≤ 2θ ≤ 90°, sorted by position:
17.89°, intensity 58
18.67°, intensity 30
18.84°, intensity 80
22.10°, intensity 45
27.04°, intensity 76
27.29°, intensity 100
29.59°, intensity 91
35.06°, intensity 27
35.91°, intensity 42
55.58°, intensity 28

Crystal structure
```
LiGaPO5
1.0
5.164 0.000 0.000
-0.911 5.292 0.000
-2.256 -2.402 6.423
Li Ga P O
2 2 2 10
direct
0.227 0.378 0.306 Li
0.773 0.622 0.694 Li
0.500 0.000 0.000 Ga
0.500 0.000 0.500 Ga
0.178 0.354 0.734 P
0.822 0.646 0.266 P
0.132 0.755 0.428 O
0.197 0.657 0.844 O
0.227 0.204 0.889 O
0.384 0.068 0.236 O
0.387 0.339 0.618 O
0.613 0.661 0.382 O
0.616 0.932 0.764 O
0.773 0.796 0.111 O
0.803 0.343 0.156 O
0.868 0.245 0.572 O
```



This entry pairs a crystal structure of MgZn with its calculated X-ray diffraction stick pattern. Radiation: a wavelength of 1.5418 Å. Structure: a cell relaxed with GGA-PBE.

Most intense lines, 15° ≤ 2θ ≤ 90°, sorted by position:
27.04°, intensity 28
38.61°, intensity 100
47.77°, intensity 8
55.75°, intensity 16
63.03°, intensity 10
69.87°, intensity 32
82.78°, intensity 10
89.06°, intensity 5

Crystal structure
```
MgZn
1.0
3.298 0.000 0.000
0.000 3.298 0.000
0.000 0.000 3.298
Mg Zn
1 1
direct
0.000 0.000 0.000 Mg
0.500 0.500 0.500 Zn
```



This entry pairs a crystal structure of SmSiPd with its calculated X-ray diffraction stick pattern. Radiation: a wavelength of 1.5418 Å. Structure: a cell relaxed with GGA-PBE.

Most intense lines, 15° ≤ 2θ ≤ 90°, sorted by position:
23.70°, intensity 26
33.60°, intensity 100
41.67°, intensity 43
48.01°, intensity 10
54.22°, intensity 6
54.55°, intensity 25
65.41°, intensity 22
70.91°, intensity 23
76.05°, intensity 7
80.15°, intensity 8

Crystal structure
```
SmSiPd
1.0
4.335 0.000 0.000
-2.168 3.754 0.000
0.000 0.000 3.790
Sm Si Pd
1 1 1
direct
0.000 0.000 0.000 Sm
0.667 0.333 0.500 Si
0.333 0.667 0.500 Pd
```